For B3H5, a cell relaxed with PBE gives the computed X-ray powder pattern in this record (Cu Kα, 1.54184 Å).

Top 6 peaks for 2θ = 5–70°, by angle:
d 5.934, 2θ = 14.93°, I = 183, hkl 1 1 0; d 4.904, 2θ = 18.09°, I = 1000, hkl 1 1 1; d 4.666, 2θ = 19.02°, I = 135, hkl 0 2 0; d 4.357, 2θ = 20.38°, I = 209, hkl 0 0 2; d 4.114, 2θ = 21.60°, I = 187, hkl 0 2 1; d 3.512, 2θ = 25.36°, I = 120, hkl 1 1 2

Atomic structure:
```
data_B3H5
_symmetry_space_group_name_H-M 'C m c 21'
_symmetry_Int_Tables_number 36
_cell_length_a 7.688
_cell_length_b 9.333
_cell_length_c 8.714
_cell_angle_alpha 90.00
_cell_angle_beta 90.00
_cell_angle_gamma 90.00
loop_
_symmetry_equiv_pos_as_xyz
'x,y,z'
'-x,-y,z+1/2'
'-x,y,z'
'x,-y,z+1/2'
'x+1/2,y+1/2,z'
'-x+1/2,-y+1/2,z+1/2'
'-x+1/2,y+1/2,z'
'x+1/2,-y+1/2,z+1/2'
loop_
_atom_site_label
_atom_site_fract_x
_atom_site_fract_y
_atom_site_fract_z
_atom_site_occupancy
B1 0.000 0.205 0.000 1
B2 0.000 0.256 0.807 1
B3 0.107 0.427 0.798 1
B4 0.184 0.295 0.920 1
H1 0.000 0.087 0.053 1
H2 0.000 0.170 0.706 1
H3 0.124 0.278 0.068 1
H4 0.173 0.253 0.425 1
H5 0.176 0.438 0.938 1
H6 0.210 0.470 0.707 1
```

For LiSb2S4, a cell relaxed with PBE gives the computed X-ray powder pattern in this record (Cu Kα, 1.54184 Å).

Top 6 peaks for 2θ = 5–70°, by angle:
d 6.432, 2θ = 13.77°, I = 1000, hkl 2 0 0; d 3.284, 2θ = 27.16°, I = 219, hkl 1 1 -1; d 2.955, 2θ = 30.25°, I = 671, hkl 1 1 1; d 2.859, 2θ = 31.29°, I = 340, hkl 4 0 -2; d 2.327, 2θ = 38.69°, I = 254, hkl 3 1 1; d 2.269, 2θ = 39.72°, I = 250, hkl 5 1 -1

Atomic structure:
```
data_LiSb2S4
_symmetry_space_group_name_H-M 'C 1 2/m 1'
_symmetry_Int_Tables_number 12
_cell_length_a 14.155
_cell_length_b 3.796
_cell_length_c 6.551
_cell_angle_alpha 90.00
_cell_angle_beta 114.66
_cell_angle_gamma 90.00
loop_
_symmetry_equiv_pos_as_xyz
'x,y,z'
'-x,-y,-z'
'-x,y,-z'
'x,-y,z'
'x+1/2,y+1/2,z'
'-x+1/2,-y+1/2,-z'
'-x+1/2,y+1/2,-z'
'x+1/2,-y+1/2,z'
loop_
_atom_site_label
_atom_site_fract_x
_atom_site_fract_y
_atom_site_fract_z
_atom_site_occupancy
Li1 0.000 0.000 0.000 1
Sb1 0.233 0.500 0.729 1
S1 0.120 0.000 0.455 1
S2 0.129 0.500 0.984 1
```

For La6Os2Ru, a cell relaxed with PBE gives the computed X-ray powder pattern in this record (Cu Kα, 1.54184 Å).

Top 6 peaks for 2θ = 5–70°, by angle:
d 5.904, 2θ = 15.00°, I = 458, hkl 1 0 1; d 3.177, 2θ = 28.08°, I = 462, hkl 1 2 0; d 3.130, 2θ = 28.52°, I = 1000, hkl 1 1 3; d 2.463, 2θ = 36.48°, I = 424, hkl 2 2 0; d 2.441, 2θ = 36.82°, I = 663, hkl 2 1 3; d 2.065, 2θ = 43.84°, I = 482, hkl 0 3 3

Atomic structure:
```
data_La6Os2Ru
_symmetry_space_group_name_H-M 'P n n m'
_symmetry_Int_Tables_number 58
_cell_length_a 6.755
_cell_length_b 7.201
_cell_length_c 12.157
_cell_angle_alpha 90.00
_cell_angle_beta 90.00
_cell_angle_gamma 90.00
loop_
_symmetry_equiv_pos_as_xyz
'x,y,z'
'-x,-y,-z'
'-x,-y,z'
'x,y,-z'
'x+1/2,-y+1/2,-z+1/2'
'-x+1/2,y+1/2,z+1/2'
'-x+1/2,y+1/2,-z+1/2'
'x+1/2,-y+1/2,z+1/2'
loop_
_atom_site_label
_atom_site_fract_x
_atom_site_fract_y
_atom_site_fract_z
_atom_site_occupancy
La1 0.214 0.171 0.000 1
La2 0.243 0.672 0.167 1
Os1 0.000 0.000 0.188 1
Ru1 0.000 0.500 0.000 1
```

For AcVPd2, a cell relaxed with PBE gives the computed X-ray powder pattern in this record (Cu Kα, 1.54184 Å).

Top 6 peaks for 2θ = 5–70°, by angle:
d 3.761, 2θ = 23.66°, I = 830, hkl 1 0 1; d 2.767, 2θ = 32.35°, I = 1000, hkl 1 0 4; d 2.450, 2θ = 36.67°, I = 770, hkl 0 1 5; d 2.235, 2θ = 40.35°, I = 954, hkl 1 1 0; d 1.739, 2θ = 52.64°, I = 252, hkl 0 2 4; d 1.705, 2θ = 53.75°, I = 291, hkl 1 1 6

Atomic structure:
```
data_AcVPd2
_symmetry_space_group_name_H-M 'R -3 m'
_symmetry_Int_Tables_number 166
_symmetry_space_group_name_Hall '-R 3 2"'
_cell_length_a 4.4706
_cell_length_b 4.4706
_cell_length_c 15.8259
_cell_angle_alpha 90.00
_cell_angle_beta 90.00
_cell_angle_gamma 120.00
loop_
_atom_site_label
_atom_site_fract_x
_atom_site_fract_y
_atom_site_fract_z
_atom_site_occupancy
Ac1 0.0000 0.0000 0.0000 1
V1 0.0000 0.0000 0.5000 1
Pd1 0.0000 0.0000 0.2062 1
```

For KBeAu3, a cell relaxed with PBE gives the computed X-ray powder pattern in this record (Cu Kα, 1.54184 Å).

Top 6 peaks for 2θ = 5–70°, by angle:
d 6.712, 2θ = 13.19°, I = 269, hkl 1 0 1; d 5.565, 2θ = 15.93°, I = 274, hkl 0 0 2; d 2.782, 2θ = 32.17°, I = 198, hkl 0 0 4; d 2.652, 2θ = 33.80°, I = 1000, hkl 2 1 2; d 2.164, 2θ = 41.74°, I = 220, hkl 0 2 0; d 2.045, 2θ = 44.29°, I = 239, hkl 2 1 4

Atomic structure:
```
data_KBeAu3
_symmetry_space_group_name_H-M 'P n m a'
_symmetry_Int_Tables_number 62
_cell_length_a 8.415
_cell_length_b 4.328
_cell_length_c 11.129
_cell_angle_alpha 90.00
_cell_angle_beta 90.00
_cell_angle_gamma 90.00
loop_
_symmetry_equiv_pos_as_xyz
'x,y,z'
'-x,-y,-z'
'-x+1/2,-y,z+1/2'
'x+1/2,y,-z+1/2'
'x+1/2,-y+1/2,-z+1/2'
'-x+1/2,y+1/2,z+1/2'
'-x,y+1/2,-z'
'x,-y+1/2,z'
loop_
_atom_site_label
_atom_site_fract_x
_atom_site_fract_y
_atom_site_fract_z
_atom_site_occupancy
K1 0.153 0.250 0.002 1
Be1 0.098 0.250 0.356 1
Au1 0.067 0.250 0.569 1
Au2 0.131 0.750 0.763 1
Au3 0.148 0.750 0.242 1
```

For La3TlRu, a cell relaxed with PBE gives the computed X-ray powder pattern in this record (Cu Kα, 1.54184 Å).

Top 6 peaks for 2θ = 5–70°, by angle:
d 3.851, 2θ = 23.09°, I = 111, hkl 1 1 0; d 2.982, 2θ = 29.97°, I = 187, hkl 0 0 2; d 2.911, 2θ = 30.71°, I = 1000, hkl 2 0 1; d 2.223, 2θ = 40.58°, I = 337, hkl 2 0 2; d 1.926, 2θ = 47.20°, I = 280, hkl 2 2 0; d 1.708, 2θ = 53.68°, I = 209, hkl 2 0 3

Atomic structure:
```
data_La3TlRu
_symmetry_space_group_name_H-M 'P 63/m'
_symmetry_Int_Tables_number 176
_symmetry_space_group_name_Hall '-P 6c'
_cell_length_a 7.7029
_cell_length_b 7.7029
_cell_length_c 5.9634
_cell_angle_alpha 90.00
_cell_angle_beta 90.00
_cell_angle_gamma 120.00
loop_
_atom_site_label
_atom_site_fract_x
_atom_site_fract_y
_atom_site_fract_z
_atom_site_occupancy
La1 0.1368 0.7810 0.2500 1
Tl1 0.3333 0.6667 0.7500 1
Ru1 0.0000 0.0000 0.0000 1
```

For Cd3SbI2, a cell relaxed with PBE gives the computed X-ray powder pattern in this record (Cu Kα, 1.54184 Å).

Top 6 peaks for 2θ = 5–70°, by angle:
d 3.310, 2θ = 26.94°, I = 535, hkl 2 0 -2; d 3.111, 2θ = 28.70°, I = 1000, hkl 1 3 1; d 2.284, 2θ = 39.45°, I = 302, hkl 3 3 -1; d 2.250, 2θ = 40.07°, I = 390, hkl 1 3 -3; d 2.197, 2θ = 41.08°, I = 179, hkl 2 0 2; d 1.834, 2θ = 49.73°, I = 172, hkl 2 6 -2

Atomic structure:
```
data_Cd3SbI2
_symmetry_space_group_name_H-M 'C 1 2/c 1'
_symmetry_Int_Tables_number 15
_cell_length_a 8.026
_cell_length_b 13.212
_cell_length_c 7.870
_cell_angle_alpha 90.00
_cell_angle_beta 112.85
_cell_angle_gamma 90.00
loop_
_symmetry_equiv_pos_as_xyz
'x,y,z'
'-x,-y,-z'
'-x,y,-z+1/2'
'x,-y,z+1/2'
'x+1/2,y+1/2,z'
'-x+1/2,-y+1/2,-z'
'-x+1/2,y+1/2,-z+1/2'
'x+1/2,-y+1/2,z+1/2'
loop_
_atom_site_label
_atom_site_fract_x
_atom_site_fract_y
_atom_site_fract_z
_atom_site_occupancy
Cd1 0.195 0.069 0.005 1
Cd2 0.250 0.250 0.500 1
Sb1 0.000 0.100 0.250 1
I1 0.000 0.259 0.750 1
I2 0.000 0.423 0.250 1
```

For Na2MnHgBr4, a cell relaxed with PBE gives the computed X-ray powder pattern in this record (Cu Kα, 1.54184 Å).

Top 6 peaks for 2θ = 5–70°, by angle:
d 6.218, 2θ = 14.24°, I = 459, hkl 2 0 0; d 3.775, 2θ = 23.57°, I = 569, hkl 1 1 -1; d 3.266, 2θ = 27.30°, I = 445, hkl 2 0 -3; d 3.188, 2θ = 27.99°, I = 641, hkl 2 0 2; d 3.173, 2θ = 28.13°, I = 441, hkl 4 0 -2; d 3.026, 2θ = 29.52°, I = 1000, hkl 3 1 -1

Atomic structure:
```
data_Na2MnHgBr4
_symmetry_space_group_name_H-M 'C 1 2/m 1'
_symmetry_Int_Tables_number 12
_cell_length_a 13.352
_cell_length_b 4.142
_cell_length_c 9.894
_cell_angle_alpha 90.00
_cell_angle_beta 111.35
_cell_angle_gamma 90.00
loop_
_symmetry_equiv_pos_as_xyz
'x,y,z'
'-x,-y,-z'
'-x,y,-z'
'x,-y,z'
'x+1/2,y+1/2,z'
'-x+1/2,-y+1/2,-z'
'-x+1/2,y+1/2,-z'
'x+1/2,-y+1/2,z'
loop_
_atom_site_label
_atom_site_fract_x
_atom_site_fract_y
_atom_site_fract_z
_atom_site_occupancy
Na1 0.224 0.000 0.296 1
Mn1 0.000 0.000 0.500 1
Hg1 0.000 0.500 0.000 1
Br1 0.106 0.500 0.411 1
Br2 0.147 0.000 0.757 1
```

For La2BO4, a cell relaxed with PBE gives the computed X-ray powder pattern in this record (Cu Kα, 1.54184 Å).

Top 6 peaks for 2θ = 5–70°, by angle:
d 7.373, 2θ = 12.00°, I = 489, hkl 0 0 2; d 3.859, 2θ = 23.05°, I = 219, hkl 1 0 1; d 3.101, 2θ = 28.79°, I = 1000, hkl 1 0 3; d 2.827, 2θ = 31.65°, I = 397, hkl 1 1 0; d 1.855, 2θ = 49.12°, I = 229, hkl 1 1 6; d 1.680, 2θ = 54.62°, I = 327, hkl 2 1 3

Atomic structure:
```
data_La2BO4
_symmetry_space_group_name_H-M 'I 4/m m m'
_symmetry_Int_Tables_number 139
_symmetry_space_group_name_Hall '-I 4 2'
_cell_length_a 3.998
_cell_length_b 3.998
_cell_length_c 14.746
_cell_angle_alpha 90.00
_cell_angle_beta 90.00
_cell_angle_gamma 90.00
loop_
_atom_site_label
_atom_site_fract_x
_atom_site_fract_y
_atom_site_fract_z
_atom_site_occupancy
La1 0.000 0.000 0.165 1
B1 0.000 0.000 0.500 1
O1 0.000 0.000 0.413 1
O2 0.000 0.500 0.250 1
```

For RbTm4Cl12, a cell relaxed with PBE gives the computed X-ray powder pattern in this record (Cu Kα, 1.54184 Å).

Top 6 peaks for 2θ = 5–70°, by angle:
d 5.098, 2θ = 17.40°, I = 1000, hkl 0 2 0; d 3.605, 2θ = 24.70°, I = 672, hkl 2 2 0; d 2.549, 2θ = 35.21°, I = 387, hkl 0 0 4; d 2.280, 2θ = 39.53°, I = 512, hkl 4 2 0; d 2.081, 2θ = 43.48°, I = 456, hkl 4 2 2; d 1.802, 2θ = 50.65°, I = 213, hkl 0 4 4

Atomic structure:
```
data_RbTm4Cl12
_symmetry_space_group_name_H-M 'I m m m'
_symmetry_Int_Tables_number 71
_symmetry_space_group_name_Hall '-I 2 2'
_cell_length_a 10.189
_cell_length_b 10.196
_cell_length_c 10.202
_cell_angle_alpha 90.00
_cell_angle_beta 90.00
_cell_angle_gamma 90.00
loop_
_atom_site_label
_atom_site_fract_x
_atom_site_fract_y
_atom_site_fract_z
_atom_site_occupancy
Rb1 0.000 0.000 0.000 1
Tm1 0.250 0.250 0.250 1
Cl1 0.000 0.287 0.200 1
Cl2 0.199 0.000 0.285 1
Cl3 0.213 0.299 0.500 1
```